The following is a computed X-ray diffraction stick pattern of Pu6ScGe5. It was derived from a structure optimized by DFT (GGA-PBE), using a wavelength of 1.5418 Å.

Largest 10 diffraction maxima, low angle first, 2θ = 10–90°:
d = 3.975 Å, 2θ 22.37, I = 22
d = 3.370 Å, 2θ 26.45, I = 31
d = 2.570 Å, 2θ 34.91, I = 100
d = 2.419 Å, 2θ 37.17, I = 18
d = 2.349 Å, 2θ 38.32, I = 22
d = 1.987 Å, 2θ 45.65, I = 11
d = 1.712 Å, 2θ 53.53, I = 10
d = 1.685 Å, 2θ 54.45, I = 12
d = 1.517 Å, 2θ 61.08, I = 10
d = 1.395 Å, 2θ 67.10, I = 17

Cell: 8.600 8.600 8.600 Å, 148.30 124.95 64.93°
Element x y z (fractional)
Pu: 0.056 0.318 0.739
Pu: 0.225 0.000 0.225
Pu: 0.421 0.682 0.739
Pu: 0.579 0.318 0.261
Pu: 0.775 0.000 0.775
Pu: 0.944 0.682 0.261
Sc: 0.500 0.500 0.000
Ge: 0.000 0.500 0.500
Ge: 0.170 0.170 0.000
Ge: 0.361 0.861 0.500
Ge: 0.639 0.139 0.500
Ge: 0.830 0.830 0.000